Record 1
Co2O3F: computed powder diffractogram (Cu Ka), based on a crystal structure in the Materials Project, relaxed with PBE+U.

Cell and atoms:
Lattice parameters (Å, degrees): 6.4702 6.7866 6.7866 52.72 90.00 90.00
Fractional coordinates of all 24 atoms:
Co 0.0000 0.0000 0.0000
Co 0.0000 0.5000 0.5000
Co 0.0256 0.5000 0.0000
Co 0.4648 0.2496 0.7496
Co 0.5000 0.2496 0.2496
Co 0.5000 0.7496 0.7496
Co 0.5352 0.7496 0.2496
Co 0.9744 0.0000 0.5000
O 0.0000 0.1535 0.1535
O 0.0000 0.3465 0.3465
O 0.0000 0.6535 0.6535
O 0.0000 0.8465 0.8465
O 0.1872 0.2523 0.7523
O 0.3056 0.4997 0.9997
O 0.5000 0.1048 0.1048
O 0.5000 0.3948 0.3948
O 0.5000 0.6048 0.6048
O 0.5000 0.8948 0.8948
O 0.6944 0.9998 0.4998
O 0.8128 0.7523 0.2523
F 0.2129 0.7481 0.2481
F 0.2781 0.0003 0.5003
F 0.7219 0.5003 0.0003
F 0.7871 0.2481 0.7481

Largest 10 diffraction maxima, in order of rising 2θ, 2θ from 15° to 90°:
2θ/deg  I/Imax
27.6  73.8
29.4  73.6
36.0  100.0
40.7  13.6
40.9  14.1
54.4  43.7
56.5  43.6
56.9  12.6
61.5  14.8
71.1  26.6

Record 2
Co6O5F7: computed powder diffractogram (Cu Ka), based on a crystal structure in the Materials Project, relaxed with PBE+U.

Cell and atoms:
Lattice parameters (Å, degrees): 4.6220 5.6294 7.6726 87.07 88.11 89.73
Fractional coordinates of all 18 atoms:
Co 0.0000 0.0000 0.0000
Co 0.0104 0.3656 0.7003
Co 0.0450 0.6793 0.3310
Co 0.5239 0.1933 0.3498
Co 0.5466 0.5391 0.0202
Co 0.5895 0.8530 0.6618
O 0.3452 0.5043 0.2397
O 0.7393 0.5606 0.7937
O 0.7398 0.8784 0.4456
O 0.8297 0.7265 0.1122
O 0.8469 0.0609 0.7823
F 0.2250 0.9929 0.2367
F 0.2379 0.6468 0.5810
F 0.2502 0.3300 0.9211
F 0.3331 0.1585 0.5928
F 0.3391 0.8346 0.9047
F 0.7504 0.2300 0.1158
F 0.8487 0.3828 0.4539

Largest 10 diffraction maxima, in order of rising 2θ, 2θ from 15° to 90°:
2θ/deg  I/Imax
26.9  100.0
27.5  94.9
34.5  66.1
35.2  26.7
35.3  26.4
52.6  32.7
52.8  30.2
55.5  16.9
56.8  16.0
59.8  19.6

Record 3
CoOF: computed powder diffractogram (Cu Ka), based on a crystal structure in the Materials Project, relaxed with PBE+U.

Cell and atoms:
Lattice parameters (Å, degrees): 8.9986 4.4816 4.5090 90.00 90.00 90.00
Fractional coordinates of all 18 atoms:
Co 0.0000 0.2293 0.0000
Co 0.1663 0.7251 0.5593
Co 0.3337 0.2749 0.0593
Co 0.5000 0.7707 0.5000
Co 0.6663 0.2749 0.0593
Co 0.8337 0.7251 0.5593
O 0.0000 0.9244 0.7260
O 0.1638 0.4261 0.8427
O 0.3362 0.5739 0.3427
O 0.5000 0.0756 0.2260
O 0.6638 0.5739 0.3427
O 0.8362 0.4261 0.8427
F 0.0000 0.5193 0.3143
F 0.1591 0.0334 0.2311
F 0.3409 0.9666 0.7311
F 0.5000 0.4807 0.8143
F 0.6591 0.9666 0.7311
F 0.8409 0.0334 0.2311

Largest 10 diffraction maxima, in order of rising 2θ, 2θ from 15° to 90°:
2θ/deg  I/Imax
28.1  100.0
36.0  61.3
41.4  17.8
54.9  28.3
55.1  28.9
58.0  15.8
61.9  10.9
69.3  12.5
70.0  8.9
70.4  8.8

Record 4
Co2O3F: computed powder diffractogram (Cu Ka), based on a crystal structure in the Materials Project, relaxed with PBE+U.

Cell and atoms:
Lattice parameters (Å, degrees): 5.2941 5.2941 8.4861 90.90 90.90 73.69
Fractional coordinates of all 24 atoms:
Co 0.0000 0.0000 0.0000
Co 0.1382 0.1111 0.6256
Co 0.3045 0.1963 0.2511
Co 0.4060 0.3434 0.8754
Co 0.5476 0.4524 0.5000
Co 0.6566 0.5940 0.1246
Co 0.8037 0.6955 0.7489
Co 0.8889 0.8618 0.3744
O 0.0004 0.9462 0.7775
O 0.0538 0.9996 0.2225
O 0.0866 0.4149 0.7501
O 0.2487 0.1959 0.0292
O 0.3152 0.2409 0.4747
O 0.5099 0.4349 0.2790
O 0.5651 0.4901 0.7210
O 0.5851 0.9134 0.2499
O 0.7218 0.2782 0.0000
O 0.7591 0.6848 0.5253
O 0.8041 0.7513 0.9708
O 0.8265 0.1735 0.5000
F 0.0004 0.5089 0.2540
F 0.2251 0.7749 0.5000
F 0.3085 0.6915 0.0000
F 0.4911 0.9996 0.7460

Largest 10 diffraction maxima, in order of rising 2θ, 2θ from 15° to 90°:
2θ/deg  I/Imax
28.1  75.8
29.5  79.3
36.6  100.0
41.2  15.2
41.7  13.5
55.4  45.0
57.1  46.6
62.6  14.7
72.0  14.7
72.1  14.4

Record 5
Co3OF5: computed powder diffractogram (Cu Ka), based on a crystal structure in the Materials Project, relaxed with PBE+U.

Cell and atoms:
Lattice parameters (Å, degrees): 5.6878 5.6878 7.2814 105.84 105.84 73.48
Fractional coordinates of all 18 atoms:
Co 0.0000 0.0000 0.0000
Co 0.0000 0.0000 0.5000
Co 0.3226 0.3226 0.3507
Co 0.3358 0.3358 0.8211
Co 0.6642 0.6642 0.1789
Co 0.6774 0.6774 0.6493
O 0.2303 0.2303 0.5293
O 0.7697 0.7697 0.4707
F 0.0269 0.6349 0.8342
F 0.1014 0.1014 0.7980
F 0.3096 0.6904 0.5000
F 0.3651 0.9731 0.1658
F 0.4283 0.4283 0.1355
F 0.5717 0.5717 0.8645
F 0.6349 0.0269 0.8342
F 0.6904 0.3096 0.5000
F 0.8986 0.8986 0.2020
F 0.9731 0.3651 0.1658

Largest 10 diffraction maxima, in order of rising 2θ, 2θ from 15° to 90°:
2θ/deg  I/Imax
26.2  90.5
27.2  79.1
34.0  100.0
38.8  15.7
39.5  19.0
51.4  62.2
52.6  47.4
53.9  17.1
58.0  18.3
66.3  38.3

Record 6
Co6O5F7: computed powder diffractogram (Cu Ka), based on a crystal structure in the Materials Project, relaxed with PBE+U.

Cell and atoms:
Lattice parameters (Å, degrees): 5.4580 5.5562 7.0163 74.37 73.81 72.52
Fractional coordinates of all 18 atoms:
Co 0.0000 0.0000 0.0000
Co 0.0007 0.9694 0.4998
Co 0.3714 0.2466 0.6460
Co 0.3839 0.3064 0.1698
Co 0.6890 0.6288 0.8309
Co 0.6908 0.6369 0.3338
O 0.1068 0.0644 0.7014
O 0.4740 0.3959 0.3639
O 0.6591 0.9721 0.6632
O 0.7153 0.2947 0.9992
O 0.9087 0.8789 0.2972
F 0.0117 0.3405 0.3216
F 0.0628 0.5760 0.6679
F 0.2706 0.2089 0.9664
F 0.3121 0.6897 0.9969
F 0.3698 0.9340 0.3385
F 0.5893 0.5154 0.6338
F 0.7802 0.7461 0.0310

Largest 10 diffraction maxima, in order of rising 2θ, 2θ from 15° to 90°:
2θ/deg  I/Imax
27.4  100.0
28.2  94.0
34.8  31.2
35.1  33.6
35.3  29.5
35.5  28.1
39.8  19.1
54.1  29.9
56.5  16.1
60.0  19.9

Record 7
Co3OF5: computed powder diffractogram (Cu Ka), based on a crystal structure in the Materials Project, relaxed with PBE+U.

Cell and atoms:
Lattice parameters (Å, degrees): 5.6764 5.6781 7.4764 72.51 72.67 71.68
Fractional coordinates of all 18 atoms:
Co 0.0000 0.0000 0.0000
Co 0.0134 0.0047 0.4970
Co 0.3526 0.3393 0.6653
Co 0.3810 0.3069 0.1549
Co 0.6581 0.6494 0.8263
Co 0.6801 0.6810 0.3224
O 0.4579 0.4428 0.8633
O 0.6466 0.0367 0.1630
F 0.0615 0.6227 0.1636
F 0.1173 0.1060 0.1953
F 0.2500 0.2379 0.4575
F 0.3165 0.7014 0.4922
F 0.3713 0.9699 0.8297
F 0.5840 0.5714 0.1223
F 0.7137 0.3098 0.4891
F 0.7766 0.7647 0.5377
F 0.8965 0.8817 0.7987
F 0.9820 0.3622 0.8272

Largest 10 diffraction maxima, in order of rising 2θ, 2θ from 15° to 90°:
2θ/deg  I/Imax
26.4  100.0
26.8  92.4
34.0  56.2
34.2  52.5
51.5  33.2
52.0  31.2
52.3  43.2
54.4  17.7
58.4  19.4
66.4  20.7

Record 8
Co6O5F7: computed powder diffractogram (Cu Ka), based on a crystal structure in the Materials Project, relaxed with PBE+U.

Cell and atoms:
Lattice parameters (Å, degrees): 4.6687 5.5840 7.6347 85.69 87.16 86.81
Fractional coordinates of all 18 atoms:
Co 0.0000 0.0000 0.0000
Co 0.0194 0.3144 0.6682
Co 0.0414 0.6793 0.3473
Co 0.4700 0.8380 0.6690
Co 0.5079 0.1506 0.3355
Co 0.5378 0.4805 0.9976
O 0.1975 0.0265 0.7727
O 0.2089 0.3561 0.4443
O 0.3088 0.8580 0.4370
O 0.8104 0.9659 0.2287
O 0.8327 0.2805 0.8930
F 0.2042 0.6980 0.0943
F 0.3133 0.5286 0.7691
F 0.3183 0.1946 0.1033
F 0.7014 0.7899 0.8925
F 0.7051 0.1139 0.5688
F 0.7140 0.4641 0.2404
F 0.8037 0.6179 0.5771

Largest 10 diffraction maxima, in order of rising 2θ, 2θ from 15° to 90°:
2θ/deg  I/Imax
26.1  100.0
28.1  90.0
35.2  52.4
35.4  52.4
52.1  31.1
52.3  31.7
54.2  25.5
54.7  25.7
67.5  20.6
68.1  19.5

Record 9
Co2O3F: computed powder diffractogram (Cu Ka), based on a crystal structure in the Materials Project, relaxed with PBE+U.

Cell and atoms:
Lattice parameters (Å, degrees): 9.2521 9.2521 4.3875 92.54 92.54 37.00
Fractional coordinates of all 24 atoms:
Co 0.0000 0.0000 0.0000
Co 0.1211 0.6293 0.5009
Co 0.2568 0.2568 0.9741
Co 0.3707 0.8789 0.4991
Co 0.5000 0.5000 0.0000
Co 0.6293 0.1211 0.5009
Co 0.7432 0.7432 0.0259
Co 0.8789 0.3707 0.4991
O 0.0469 0.5492 0.1950
O 0.0769 0.0769 0.6882
O 0.1998 0.7022 0.8069
O 0.2978 0.8002 0.1931
O 0.3283 0.3283 0.6910
O 0.4508 0.9531 0.8050
O 0.5492 0.0469 0.1950
O 0.6717 0.6717 0.3090
O 0.7022 0.1998 0.8069
O 0.8002 0.2978 0.1931
O 0.9231 0.9231 0.3118
O 0.9531 0.4508 0.8050
F 0.1810 0.1810 0.2795
F 0.4277 0.4277 0.2866
F 0.5723 0.5723 0.7134
F 0.8190 0.8190 0.7205

Largest 10 diffraction maxima, in order of rising 2θ, 2θ from 15° to 90°:
2θ/deg  I/Imax
28.1  79.7
29.5  81.0
36.9  100.0
41.2  16.5
41.9  12.7
55.7  47.6
57.2  47.3
58.1  14.4
63.4  14.7
72.2  30.5

Record 10
Co6O7F5: computed powder diffractogram (Cu Ka), based on a crystal structure in the Materials Project, relaxed with PBE+U.

Cell and atoms:
Lattice parameters (Å, degrees): 4.5599 5.4595 7.5624 86.65 87.14 86.31
Fractional coordinates of all 18 atoms:
Co 0.0000 0.0000 0.0000
Co 0.0071 0.6595 0.3445
Co 0.4981 0.5020 0.0120
Co 0.5402 0.8426 0.6894
Co 0.5510 0.1842 0.3394
Co 0.9674 0.3370 0.6733
O 0.3138 0.4611 0.2413
O 0.3145 0.7999 0.9083
O 0.6949 0.5359 0.7855
O 0.7040 0.2071 0.1018
O 0.7090 0.8676 0.4485
O 0.8116 0.0369 0.7780
O 0.8208 0.3763 0.4430
F 0.1959 0.9581 0.2398
F 0.2026 0.3023 0.8958
F 0.2111 0.6331 0.5849
F 0.3093 0.1327 0.5741
F 0.8102 0.7016 0.1097

Largest 10 diffraction maxima, in order of rising 2θ, 2θ from 15° to 90°:
2θ/deg  I/Imax
26.7  100.0
28.9  90.2
35.7  82.3
35.7  26.5
40.2  17.6
53.2  45.7
54.9  16.3
55.8  39.0
61.4  17.3
69.5  28.5

Record 11
CoOF: computed powder diffractogram (Cu Ka), based on a crystal structure in the Materials Project, relaxed with PBE+U.

Cell and atoms:
Lattice parameters (Å, degrees): 4.5388 4.4908 9.9850 90.00 115.58 90.00
Fractional coordinates of all 18 atoms:
Co 0.0000 0.2134 0.0000
Co 0.0000 0.7866 0.5000
Co 0.3283 0.2345 0.3311
Co 0.3283 0.7655 0.8311
Co 0.6028 0.2688 0.6661
Co 0.6028 0.7312 0.1661
O 0.2822 0.0779 0.5006
O 0.2822 0.9221 0.0006
O 0.3226 0.4289 0.1655
O 0.3226 0.5711 0.6655
O 0.6011 0.0657 0.8281
O 0.6011 0.9343 0.3281
F 0.6717 0.4732 0.5087
F 0.6717 0.5268 0.0087
F 0.9161 0.0231 0.1632
F 0.9161 0.9769 0.6632
F 0.9905 0.4632 0.8288
F 0.9905 0.5368 0.3288

Largest 10 diffraction maxima, in order of rising 2θ, 2θ from 15° to 90°:
2θ/deg  I/Imax
28.0  100.0
35.4  16.1
36.0  31.2
36.3  13.6
40.9  9.6
54.1  14.6
54.6  14.4
55.3  28.1
57.8  15.6
61.8  9.6

Which formula does entry 4 have? Co2O3F